Simulated powder diffraction line list
Compound: ZnB
Radiation: CuKα
Structure: the PBE geometry in Alexandria

Atomic structure:
```
data_ZnB
_chemical_formula_sum 'Zn8 B8'
_symmetry_space_group_name_H-M 'I -4 3 m'
_symmetry_Int_Tables_number 217
_symmetry_space_group_name_Hall 'I -4 2 3'
_cell_length_a 6.2248
_cell_length_b 6.2248
_cell_length_c 6.2248
_cell_angle_alpha 90.00
_cell_angle_beta 90.00
_cell_angle_gamma 90.00
loop_
_atom_site_label
_atom_site_type_symbol
_atom_site_fract_x
_atom_site_fract_y
_atom_site_fract_z
Zn1 Zn 0.2135 0.2135 0.7865
B1 B 0.1006 0.1006 0.1006
```

Top 12 peaks for 10 to 90 degrees two-theta, in order of falling intensity:
index, Position (°2θ), I (rel.)
2 0 0, 28.68, 100
2 2 0, 41.01, 67
2 1 1, 35.32, 46
4 1 1, 63.39, 36
3 2 1, 55.21, 27
2 2 2, 50.81, 18
4 3 1, 78.32, 18
4 2 0, 67.26, 14
1 1 0, 20.17, 13
4 2 2, 74.71, 9
3 3 2, 71.03, 6
4 0 0, 59.39, 5



Simulated powder diffraction line list
Compound: LiPuPd6
Radiation: CuKα
Structure: the PBE geometry in Alexandria

Atomic structure:
```
data_LiPuPd6
_chemical_formula_sum 'Li1 Pu1 Pd6'
_symmetry_space_group_name_H-M 'P -6 m 2'
_symmetry_Int_Tables_number 187
_symmetry_space_group_name_Hall 'P -6 2'
_cell_length_a 5.7477
_cell_length_b 5.7477
_cell_length_c 4.6021
_cell_angle_alpha 90.00
_cell_angle_beta 90.00
_cell_angle_gamma 120.00
loop_
_atom_site_label
_atom_site_type_symbol
_atom_site_fract_x
_atom_site_fract_y
_atom_site_fract_z
Li1 Li 0.0000 0.0000 0.0000
Pu1 Pu 0.3333 0.6667 0.5000
Pd1 Pd 0.3298 0.1649 0.5000
Pd2 Pd 0.5029 0.0057 0.0000
```

Top 12 peaks for 10 to 90 degrees two-theta, in order of falling intensity:
index, Position (°2θ), I (rel.)
2 0 1, 41.24, 100
2 0 0, 36.09, 28
0 0 2, 39.15, 25
1 0 0, 17.82, 24
2 2 2, 78.47, 19
2 0 3, 72.36, 19
2 0 2, 54.29, 18
2 2 0, 64.89, 17
4 0 1, 79.85, 14
1 1 1, 36.87, 12
0 0 1, 19.29, 10
1 0 1, 26.38, 9



Please write out number 1 again, unchanged.
Simulated powder diffraction line list
Compound: ZnB
Radiation: CuKα
Structure: the PBE geometry in Alexandria

Atomic structure:
```
data_ZnB
_chemical_formula_sum 'Zn8 B8'
_symmetry_space_group_name_H-M 'I -4 3 m'
_symmetry_Int_Tables_number 217
_symmetry_space_group_name_Hall 'I -4 2 3'
_cell_length_a 6.2248
_cell_length_b 6.2248
_cell_length_c 6.2248
_cell_angle_alpha 90.00
_cell_angle_beta 90.00
_cell_angle_gamma 90.00
loop_
_atom_site_label
_atom_site_type_symbol
_atom_site_fract_x
_atom_site_fract_y
_atom_site_fract_z
Zn1 Zn 0.2135 0.2135 0.7865
B1 B 0.1006 0.1006 0.1006
```

Top 12 peaks for 10 to 90 degrees two-theta, in order of falling intensity:
index, Position (°2θ), I (rel.)
2 0 0, 28.68, 100
2 2 0, 41.01, 67
2 1 1, 35.32, 46
4 1 1, 63.39, 36
3 2 1, 55.21, 27
2 2 2, 50.81, 18
4 3 1, 78.32, 18
4 2 0, 67.26, 14
1 1 0, 20.17, 13
4 2 2, 74.71, 9
3 3 2, 71.03, 6
4 0 0, 59.39, 5